Computed powder XRD pattern of SiC2N6F6 for CuKα, from a cell relaxed with PBE.
Kinematic intensities with the Lorentz-polarization factor, no thermal factor.

Cell and atoms:
abc: 11.279 6.819 6.079
angles: 90.00 113.82 90.00
Space group Cm (No. 8)
Symmetry-distinct sites (fractional):
Si 0.000 0.000 0.000
C 0.227 0.500 0.269
C 0.276 0.000 0.737
N 0.108 0.500 0.270
N 0.215 0.172 0.728
N 0.287 0.328 0.271
N 0.397 0.000 0.750
F 0.021 0.178 0.818
F 0.163 0.000 0.176
F 0.337 0.500 0.827
F 0.479 0.321 0.181

Main lines, in order of rising 2θ (2θ = 10–90°):
2θ/deg	I (rel.)	hkl
15.58	100	1 1 0
15.94	55	0 0 1
18.13	63	2 0 -1
24.76	70	1 1 1
31.99	30	2 2 -1
32.19	42	0 0 2

---

Computed powder XRD pattern of SiC2N6F6 for CuKα, from a cell relaxed with PBE.
Kinematic intensities with the Lorentz-polarization factor, no thermal factor.

Cell and atoms:
abc: 11.363 6.790 6.003
angles: 90.00 114.20 90.00
Space group C2/m (No. 12)
Symmetry-distinct sites (fractional):
Si 0.000 0.000 0.000
C 0.224 0.500 0.265
N 0.106 0.500 0.265
N 0.217 0.172 0.732
F 0.021 0.179 0.817
F 0.162 0.000 0.179

Main lines, in order of rising 2θ (2θ = 10–90°):
2θ/deg	I (rel.)	hkl
15.60	100	1 1 0
16.19	54	0 0 1
18.11	67	2 0 -1
25.00	70	1 1 1
32.08	32	2 2 -1
32.71	43	0 0 2

---

What is the formula in the second record?
SiC2N6F6